# Mn2Os2I
Theoretical powder X-ray diffraction pattern, Cu Ka. Input: DFT lattice parameters and positions (GGA-PBE).
Peak positions follow from Bragg's law for the DFT cell and can differ from measured ones.

```
data_Mn2Os2I
_chemical_formula_sum 'Mn4 Os4 I2'
_cell_length_a 3.7146
_cell_length_b 3.7146
_cell_length_c 14.2205
_cell_angle_alpha 90.00
_cell_angle_beta 90.00
_cell_angle_gamma 90.00
_space_group_name_H-M_alt 'I 4/m m m'
_space_group_IT_number 139
_space_group_name_Hall '-I 4 2'
loop_
_atom_site_label
_atom_site_type_symbol
_atom_site_fract_x
_atom_site_fract_y
_atom_site_fract_z
Mn1 Mn 0.0000 0.0000 0.1303
Os1 Os 0.0000 0.5000 0.2500
I1 I 0.0000 0.0000 0.5000
```

Top 10 peaks for 10° ≤ 2θ ≤ 80°, most intense first:
| two_theta | I_rel |
| --- | --- |
| 36.47 | 100 |
| 12.45 | 85 |
| 51.97 | 41 |
| 25.05 | 40 |
| 42.81 | 34 |
| 49.05 | 33 |
| 30.58 | 30 |
| 73.78 | 19 |
| 55.85 | 19 |
| 51.40 | 14 |



# RbMn2OsI
Theoretical powder X-ray diffraction pattern, Cu Ka. Input: DFT lattice parameters and positions (GGA-PBE).
Peak positions follow from Bragg's law for the DFT cell and can differ from measured ones.

```
data_RbMn2OsI
_chemical_formula_sum 'Rb1 Mn2 Os1 I1'
_cell_length_a 4.9244
_cell_length_b 4.9244
_cell_length_c 5.8485
_cell_angle_alpha 90.00
_cell_angle_beta 90.00
_cell_angle_gamma 90.00
_space_group_name_H-M_alt 'P 4/m m m'
_space_group_IT_number 123
_space_group_name_Hall '-P 4 2'
loop_
_atom_site_label
_atom_site_type_symbol
_atom_site_fract_x
_atom_site_fract_y
_atom_site_fract_z
Rb1 Rb 0.0000 0.0000 0.0000
Mn1 Mn 0.0000 0.5000 0.5000
Os1 Os 0.5000 0.5000 0.5000
I1 I 0.5000 0.5000 0.0000
```

Top 10 peaks for 10° ≤ 2θ ≤ 80°, most intense first:
| two_theta | I_rel |
| --- | --- |
| 18.01 | 100 |
| 36.49 | 89 |
| 48.32 | 79 |
| 30.57 | 72 |
| 25.58 | 70 |
| 23.62 | 45 |
| 40.27 | 43 |
| 62.04 | 37 |
| 35.71 | 37 |
| 52.56 | 31 |



# Mn2PI8
Theoretical powder X-ray diffraction pattern, Cu Ka. Input: DFT lattice parameters and positions (GGA-PBE).
Peak positions follow from Bragg's law for the DFT cell and can differ from measured ones.

```
data_Mn2PI8
_chemical_formula_sum 'Mn4 P2 I16'
_cell_length_a 14.4913
_cell_length_b 9.4854
_cell_length_c 8.3453
_cell_angle_alpha 90.00
_cell_angle_beta 96.23
_cell_angle_gamma 90.00
_space_group_name_H-M_alt 'C 1 2/m 1'
_space_group_IT_number 12
_space_group_name_Hall '-C 2y'
loop_
_atom_site_label
_atom_site_type_symbol
_atom_site_fract_x
_atom_site_fract_y
_atom_site_fract_z
Mn1 Mn 0.1217 0.0000 0.3604
P1 P 0.0000 0.0000 0.0000
I1 I 0.0707 0.0000 0.6951
I2 I 0.1234 0.2076 0.1341
I3 I 0.2101 0.5000 0.5096
```

Top 10 peaks for 10° ≤ 2θ ≤ 80°, most intense first:
| two_theta | I_rel |
| --- | --- |
| 11.17 | 100 |
| 21.58 | 69 |
| 25.91 | 50 |
| 15.39 | 39 |
| 25.49 | 39 |
| 30.25 | 34 |
| 24.76 | 23 |
| 33.94 | 21 |
| 37.93 | 18 |
| 45.74 | 17 |



# MnPbI2
Theoretical powder X-ray diffraction pattern, Cu Ka. Input: DFT lattice parameters and positions (GGA-PBE).
Peak positions follow from Bragg's law for the DFT cell and can differ from measured ones.

```
data_MnPbI2
_chemical_formula_sum 'Mn4 Pb4 I8'
_cell_length_a 9.7457
_cell_length_b 9.7457
_cell_length_c 5.7930
_cell_angle_alpha 90.00
_cell_angle_beta 90.00
_cell_angle_gamma 90.00
_space_group_name_H-M_alt 'I -4 2 d'
_space_group_IT_number 122
_space_group_name_Hall 'I -4 2bw'
loop_
_atom_site_label
_atom_site_type_symbol
_atom_site_fract_x
_atom_site_fract_y
_atom_site_fract_z
Mn1 Mn 0.0000 0.0000 0.0000
Pb1 Pb 0.0000 0.0000 0.5000
I1 I 0.1123 0.2500 0.1250
```

Top 10 peaks for 10° ≤ 2θ ≤ 80°, most intense first:
| two_theta | I_rel |
| --- | --- |
| 25.58 | 100 |
| 33.56 | 43 |
| 41.44 | 40 |
| 42.85 | 32 |
| 18.21 | 24 |
| 28.97 | 24 |
| 25.86 | 21 |
| 49.33 | 17 |
| 50.72 | 16 |
| 31.58 | 15 |



# MnTl2PbI6
Theoretical powder X-ray diffraction pattern, Cu Ka. Input: DFT lattice parameters and positions (GGA-PBE).
Peak positions follow from Bragg's law for the DFT cell and can differ from measured ones.

```
data_MnTl2PbI6
_chemical_formula_sum 'Mn3 Tl6 Pb3 I18'
_cell_length_a 8.3588
_cell_length_b 8.3588
_cell_length_c 21.0550
_cell_angle_alpha 90.00
_cell_angle_beta 90.00
_cell_angle_gamma 120.00
_space_group_name_H-M_alt 'R 3'
_space_group_IT_number 146
_space_group_name_Hall 'R 3'
loop_
_atom_site_label
_atom_site_type_symbol
_atom_site_fract_x
_atom_site_fract_y
_atom_site_fract_z
Mn1 Mn 0.0000 0.0000 0.0000
Tl1 Tl 0.0000 0.0000 0.2103
Tl2 Tl 0.0000 0.0000 0.7055
Pb1 Pb 0.0000 0.0000 0.4985
I1 I 0.0273 0.6080 0.7510
I2 I 0.0826 0.3494 0.5922
```

Top 10 peaks for 10° ≤ 2θ ≤ 80°, most intense first:
| two_theta | I_rel |
| --- | --- |
| 24.79 | 100 |
| 29.96 | 97 |
| 33.34 | 88 |
| 37.26 | 60 |
| 20.87 | 57 |
| 26.03 | 47 |
| 37.03 | 42 |
| 55.02 | 37 |
| 14.85 | 34 |
| 33.01 | 30 |



# RbMnI3
Theoretical powder X-ray diffraction pattern, Cu Ka. Input: DFT lattice parameters and positions (GGA-PBE).
Peak positions follow from Bragg's law for the DFT cell and can differ from measured ones.

```
data_RbMnI3
_chemical_formula_sum 'Rb2 Mn2 I6'
_cell_length_a 6.2106
_cell_length_b 8.6954
_cell_length_c 9.3942
_cell_angle_alpha 75.56
_cell_angle_beta 86.27
_cell_angle_gamma 84.55
_space_group_name_H-M_alt 'P 1'
_space_group_IT_number 1
_space_group_name_Hall 'P 1'
loop_
_atom_site_label
_atom_site_type_symbol
_atom_site_fract_x
_atom_site_fract_y
_atom_site_fract_z
Rb1 Rb 0.0000 0.0000 0.0000
Rb2 Rb 0.4288 0.3710 0.2624
Mn1 Mn 0.2109 0.8340 0.4597
Mn2 Mn 0.2196 0.5374 0.8030
I1 I 0.0149 0.5520 0.5482
I2 I 0.4151 0.8196 0.7145
I3 I 0.4699 0.2654 0.8807
I4 I 0.4771 0.8087 0.2311
I5 I 0.9523 0.5624 0.0311
I6 I 0.9598 0.1056 0.3816
```

Top 10 peaks for 10° ≤ 2θ ≤ 80°, most intense first:
| two_theta | I_rel |
| --- | --- |
| 24.66 | 100 |
| 26.64 | 58 |
| 23.80 | 57 |
| 28.91 | 46 |
| 25.11 | 45 |
| 24.82 | 43 |
| 25.54 | 38 |
| 23.50 | 31 |
| 38.21 | 29 |
| 21.87 | 27 |